Starting from a crystal structure in the Materials Project, relaxed with GGA+U, the powder diffractogram of MgFe6O10F2 was simulated for Cu Kα.
Kinematic intensities with the Lorentz-polarization factor, no thermal factor.

```
MgFe6O10F2
1.0
6.5676 0.0000 0.0000
0.0000 2.9337 0.0000
-3.1220 0.0000 11.3564
Mg Fe O F
1 6 10 2
direct
0.0000 0.0000 0.0000
0.0000 0.5000 0.5000
0.1648 0.0000 0.8193
0.3706 0.5000 0.2206
0.5000 0.0000 0.5000
0.6294 0.5000 0.7794
0.8352 0.0000 0.1807
0.1607 0.0000 0.1796
0.1727 0.5000 0.9342
0.1893 0.0000 0.5015
0.4436 0.5000 0.3895
0.4515 0.0000 0.8072
0.5485 0.0000 0.1928
0.5564 0.5000 0.6105
0.8107 0.0000 0.4985
0.8273 0.5000 0.0658
0.8393 0.0000 0.8204
0.0854 0.5000 0.6911
0.9146 0.5000 0.3089
```

Top 10 peaks for 5 to 70 degrees two-theta, by angle:
| 2theta | Rel. int. | (hkl) |
| --- | --- | --- |
| 23.50 | 100 | 0 0 3 |
| 27.16 | 95 | 2 0 -1 |
| 31.51 | 26 | 0 0 4 |
| 35.48 | 56 | 1 1 1 |
| 35.62 | 39 | 1 1 -2 |
| 38.86 | 22 | 0 1 3 |
| 49.79 | 24 | 1 1 -5 |
| 53.48 | 22 | 3 1 0 |
| 53.77 | 37 | 3 1 -3 |
| 56.00 | 24 | 4 0 -2 |